No. 1
This entry pairs a crystal structure of CsSb4S8 with its calculated PXRD pattern. Radiation: Cu Kα X-rays. Structure: a PBE-relaxed structure.
Intensities are scaled so that the largest is 100.

Structure:
```
data_CsSb4S8
_chemical_formula_sum 'Cs1 Sb4 S8'
_space_group_name_H-M_alt 'P 1'
_space_group_IT_number 1
_cell_length_a 8.250
_cell_length_b 8.250
_cell_length_c 8.250
_cell_angle_alpha 60.00
_cell_angle_beta 60.00
_cell_angle_gamma 60.00
loop_
_space_group_symop_operation_xyz
'x,y,z'
loop_
_atom_site_label
_atom_site_fract_x
_atom_site_fract_y
_atom_site_fract_z
Cs1 0.000 0.000 0.000
Sb1 0.138 0.621 0.621
Sb2 0.621 0.138 0.621
Sb3 0.621 0.621 0.138
Sb4 0.621 0.621 0.621
S1 0.386 0.386 0.386
S2 0.386 0.386 0.842
S3 0.386 0.842 0.386
S4 0.451 0.850 0.850
S5 0.842 0.386 0.386
S6 0.850 0.451 0.850
S7 0.850 0.850 0.451
S8 0.850 0.850 0.850
```

Peak list (12 most intense, 2θ = 10–90°, low angle first)
two_theta, I_rel
13.1, 65
21.5, 15
25.3, 100
26.5, 19
30.6, 49
40.2, 58
43.9, 68
51.3, 16
61.0, 23
69.8, 16
80.7, 18
86.2, 15

No. 2
This entry pairs a crystal structure of CsSb5S8 with its calculated PXRD pattern. Radiation: Cu Kα X-rays. Structure: a PBE-relaxed structure.
Intensities are scaled so that the largest is 100.

Structure:
```
data_CsSb5S8
_chemical_formula_sum 'Cs1 Sb5 S8'
_space_group_name_H-M_alt 'P 1'
_space_group_IT_number 1
_cell_length_a 10.643
_cell_length_b 10.643
_cell_length_c 10.242
_cell_angle_alpha 105.69
_cell_angle_beta 105.69
_cell_angle_gamma 21.46
loop_
_space_group_symop_operation_xyz
'x,y,z'
loop_
_atom_site_label
_atom_site_fract_x
_atom_site_fract_y
_atom_site_fract_z
Cs1 0.000 0.000 0.000
Sb1 0.178 0.178 0.455
Sb2 0.239 0.239 0.837
Sb3 0.523 0.523 0.475
Sb4 0.820 0.820 0.160
Sb5 0.862 0.862 0.527
S1 0.108 0.108 0.623
S2 0.288 0.288 0.311
S3 0.356 0.356 0.000
S4 0.429 0.429 0.669
S5 0.597 0.597 0.310
S6 0.699 0.699 0.970
S7 0.758 0.758 0.629
S8 0.950 0.950 0.328
```

Peak list (12 most intense, 2θ = 10–90°, low angle first)
two_theta, I_rel
17.5, 78
18.0, 64
22.2, 55
26.1, 76
26.4, 80
28.9, 80
30.0, 48
35.2, 100
36.3, 47
40.7, 59
45.3, 69
45.8, 60

No. 3
This entry pairs a crystal structure of Cs2ScSbS4 with its calculated PXRD pattern. Radiation: Cu Kα X-rays. Structure: a PBE-relaxed structure.
Intensities are scaled so that the largest is 100.

Structure:
```
data_Cs2ScSbS4
_chemical_formula_sum 'Cs4 Sc2 Sb2 S8'
_space_group_name_H-M_alt 'P 1'
_space_group_IT_number 1
_cell_length_a 14.423
_cell_length_b 12.828
_cell_length_c 8.159
_cell_angle_alpha 83.66
_cell_angle_beta 62.12
_cell_angle_gamma 34.21
loop_
_space_group_symop_operation_xyz
'x,y,z'
loop_
_atom_site_label
_atom_site_fract_x
_atom_site_fract_y
_atom_site_fract_z
Cs1 0.054 0.054 0.696
Cs2 0.304 0.304 0.946
Cs3 0.696 0.696 0.054
Cs4 0.946 0.946 0.304
Sc1 0.125 0.125 0.125
Sc2 0.875 0.875 0.875
Sb1 0.375 0.375 0.375
Sb2 0.625 0.625 0.625
S1 0.042 0.311 0.395
S2 0.247 0.605 0.689
S3 0.311 0.042 0.753
S4 0.395 0.753 0.042
S5 0.605 0.247 0.958
S6 0.689 0.958 0.247
S7 0.753 0.395 0.311
S8 0.958 0.689 0.605
```

Peak list (12 most intense, 2θ = 10–90°, low angle first)
two_theta, I_rel
14.3, 13
17.9, 40
24.0, 17
24.7, 100
28.7, 14
28.9, 32
34.2, 25
34.7, 12
35.8, 10
42.2, 19
42.6, 13
45.4, 33

No. 4
This entry pairs a crystal structure of Cs2Sn3Sb2S10 with its calculated PXRD pattern. Radiation: Cu Kα X-rays. Structure: a PBE-relaxed structure.
Intensities are scaled so that the largest is 100.

Structure:
```
data_Cs2Sn3Sb2S10
_chemical_formula_sum 'Cs4 Sn6 Sb4 S20'
_space_group_name_H-M_alt 'P 1'
_space_group_IT_number 1
_cell_length_a 7.264
_cell_length_b 14.215
_cell_length_c 12.419
_cell_angle_alpha 90.00
_cell_angle_beta 121.26
_cell_angle_gamma 90.00
loop_
_space_group_symop_operation_xyz
'x,y,z'
loop_
_atom_site_label
_atom_site_fract_x
_atom_site_fract_y
_atom_site_fract_z
Cs1 0.056 0.171 0.164
Cs2 0.056 0.329 0.664
Cs3 0.944 0.671 0.336
Cs4 0.944 0.829 0.836
Sn1 0.000 0.000 0.500
Sn2 0.000 0.500 0.000
Sn3 0.391 0.048 0.849
Sn4 0.391 0.452 0.349
Sn5 0.609 0.548 0.651
Sn6 0.609 0.952 0.151
Sb1 0.493 0.132 0.602
Sb2 0.493 0.368 0.102
Sb3 0.507 0.632 0.898
Sb4 0.507 0.868 0.398
S1 0.008 0.054 0.703
S2 0.008 0.446 0.203
S3 0.106 0.166 0.469
S4 0.106 0.334 0.969
S5 0.416 0.532 0.131
S6 0.416 0.968 0.631
S7 0.424 0.679 0.681
S8 0.424 0.821 0.181
S9 0.435 0.102 0.055
S10 0.435 0.398 0.555
S11 0.565 0.602 0.445
S12 0.565 0.898 0.945
S13 0.576 0.179 0.819
S14 0.576 0.321 0.319
S15 0.584 0.032 0.369
S16 0.584 0.468 0.869
S17 0.894 0.666 0.031
S18 0.894 0.834 0.531
S19 0.992 0.554 0.797
S20 0.992 0.946 0.297
```

Peak list (12 most intense, 2θ = 10–90°, low angle first)
two_theta, I_rel
12.5, 27
13.7, 33
17.5, 51
17.8, 34
22.4, 100
23.6, 57
24.9, 37
25.4, 28
28.7, 60
31.6, 32
35.8, 29
44.3, 25

No. 5
This entry pairs a crystal structure of CsScS4 with its calculated PXRD pattern. Radiation: Cu Kα X-rays. Structure: a PBE-relaxed structure.
Intensities are scaled so that the largest is 100.

Structure:
```
data_CsScS4
_chemical_formula_sum 'Cs2 Sc2 S8'
_space_group_name_H-M_alt 'P 1'
_space_group_IT_number 1
_cell_length_a 5.789
_cell_length_b 5.789
_cell_length_c 8.555
_cell_angle_alpha 90.00
_cell_angle_beta 90.00
_cell_angle_gamma 90.00
loop_
_space_group_symop_operation_xyz
'x,y,z'
loop_
_atom_site_label
_atom_site_fract_x
_atom_site_fract_y
_atom_site_fract_z
Cs1 0.250 0.250 0.000
Cs2 0.750 0.750 0.000
Sc1 0.250 0.250 0.500
Sc2 0.750 0.750 0.500
S1 0.121 0.621 0.322
S2 0.121 0.879 0.678
S3 0.379 0.621 0.678
S4 0.379 0.879 0.322
S5 0.621 0.121 0.678
S6 0.621 0.379 0.322
S7 0.879 0.121 0.322
S8 0.879 0.379 0.678
```

Peak list (12 most intense, 2θ = 10–90°, low angle first)
two_theta, I_rel
21.7, 29
24.1, 49
30.2, 100
30.9, 29
31.4, 23
36.3, 19
37.5, 38
48.0, 21
49.4, 16
49.8, 30
54.5, 14
60.1, 14

No. 6
This entry pairs a crystal structure of CsSe4S9 with its calculated PXRD pattern. Radiation: Cu Kα X-rays. Structure: a PBE-relaxed structure.
Intensities are scaled so that the largest is 100.

Structure:
```
data_CsSe4S9
_chemical_formula_sum 'Cs2 Se8 S18'
_space_group_name_H-M_alt 'P 1'
_space_group_IT_number 1
_cell_length_a 6.573
_cell_length_b 9.678
_cell_length_c 18.465
_cell_angle_alpha 75.08
_cell_angle_beta 89.10
_cell_angle_gamma 89.80
loop_
_space_group_symop_operation_xyz
'x,y,z'
loop_
_atom_site_label
_atom_site_fract_x
_atom_site_fract_y
_atom_site_fract_z
Cs1 0.000 0.000 0.000
Cs2 0.499 0.477 0.039
Se1 0.041 0.570 0.271
Se2 0.071 0.398 0.837
Se3 0.302 0.131 0.142
Se4 0.332 0.842 0.857
Se5 0.549 0.720 0.206
Se6 0.574 0.335 0.770
Se7 0.809 0.754 0.898
Se8 0.819 0.184 0.185
S1 0.120 0.657 0.901
S2 0.272 0.310 0.563
S3 0.296 0.907 0.394
S4 0.327 0.506 0.233
S5 0.350 0.289 0.877
S6 0.386 0.117 0.352
S7 0.392 0.371 0.455
S8 0.487 0.860 0.957
S9 0.534 0.197 0.432
S10 0.615 0.037 0.142
S11 0.726 0.655 0.528
S12 0.827 0.647 0.164
S13 0.851 0.221 0.801
S14 0.870 0.490 0.605
S15 0.875 0.849 0.508
S16 0.958 0.321 0.562
S17 0.982 0.297 0.085
S18 0.982 0.901 0.398
```

Peak list (12 most intense, 2θ = 10–90°, low angle first)
two_theta, I_rel
14.9, 39
15.4, 51
19.7, 67
20.4, 75
20.7, 33
20.9, 100
23.7, 36
23.8, 49
27.7, 34
29.0, 33
30.9, 55
31.0, 32

No. 7
This entry pairs a crystal structure of Cs2SeS5 with its calculated PXRD pattern. Radiation: Cu Kα X-rays. Structure: a PBE-relaxed structure.
Intensities are scaled so that the largest is 100.

Structure:
```
data_Cs2SeS5
_chemical_formula_sum 'Cs2 Se1 S5'
_space_group_name_H-M_alt 'P 1'
_space_group_IT_number 1
_cell_length_a 5.346
_cell_length_b 6.871
_cell_length_c 8.876
_cell_angle_alpha 74.07
_cell_angle_beta 85.15
_cell_angle_gamma 86.10
loop_
_space_group_symop_operation_xyz
'x,y,z'
loop_
_atom_site_label
_atom_site_fract_x
_atom_site_fract_y
_atom_site_fract_z
Cs1 0.000 0.000 0.000
Cs2 0.020 0.440 0.476
Se1 0.588 0.876 0.641
S1 0.041 0.575 0.832
S2 0.323 0.925 0.438
S3 0.406 0.605 0.857
S4 0.480 0.772 0.285
S5 0.518 0.151 0.713
```

Peak list (12 most intense, 2θ = 10–90°, low angle first)
two_theta, I_rel
10.4, 50
14.6, 37
20.9, 40
21.2, 46
23.2, 64
25.4, 42
25.5, 100
25.9, 89
29.4, 55
32.6, 39
33.7, 47
37.7, 36

No. 8
This entry pairs a crystal structure of CsSeS2 with its calculated PXRD pattern. Radiation: Cu Kα X-rays. Structure: a PBE-relaxed structure.
Intensities are scaled so that the largest is 100.

Structure:
```
data_CsSeS2
_chemical_formula_sum 'Cs2 Se2 S4'
_space_group_name_H-M_alt 'P 1'
_space_group_IT_number 1
_cell_length_a 7.154
_cell_length_b 7.154
_cell_length_c 8.108
_cell_angle_alpha 110.15
_cell_angle_beta 110.15
_cell_angle_gamma 102.49
loop_
_space_group_symop_operation_xyz
'x,y,z'
loop_
_atom_site_label
_atom_site_fract_x
_atom_site_fract_y
_atom_site_fract_z
Cs1 0.133 0.867 0.750
Cs2 0.867 0.133 0.250
Se1 0.473 0.527 0.250
Se2 0.527 0.473 0.750
S1 0.231 0.397 0.774
S2 0.397 0.231 0.274
S3 0.603 0.769 0.726
S4 0.769 0.603 0.226
```

Peak list (12 most intense, 2θ = 10–90°, low angle first)
two_theta, I_rel
14.3, 82
15.9, 38
20.6, 37
23.4, 30
23.8, 69
25.5, 100
26.3, 85
26.8, 71
32.8, 45
37.0, 78
39.3, 23
51.6, 24